1.
# Pm3As6Pd20
Simulated powder diffractogram, Cu Kα (weighted mean of Kα1 and Kα2). Input: a cell relaxed with PBE.
Peak positions follow from Bragg's law for the DFT cell and can differ from measured ones.

Structure:
a b c (Å): 8.9292 8.9292 8.9292
angles (deg): 60.00 60.00 60.00
Fractional coordinates of all 29 atoms:
1 Pm 0.0000 0.0000 0.0000
2 Pm 0.2500 0.2500 0.2500
3 Pm 0.7500 0.7500 0.7500
4 As 0.2638 0.2638 0.7362
5 As 0.2638 0.7362 0.2638
6 As 0.2638 0.7362 0.7362
7 As 0.7362 0.2638 0.2638
8 As 0.7362 0.2638 0.7362
9 As 0.7362 0.7362 0.2638
10 Pd 0.0000 0.0000 0.3493
11 Pd 0.0000 0.0000 0.6507
12 Pd 0.0000 0.3493 0.0000
13 Pd 0.0000 0.3493 0.6507
14 Pd 0.0000 0.6507 0.0000
15 Pd 0.0000 0.6507 0.3493
16 Pd 0.1505 0.6165 0.6165
17 Pd 0.3493 0.0000 0.0000
18 Pd 0.3493 0.0000 0.6507
19 Pd 0.3493 0.6507 0.0000
20 Pd 0.3835 0.3835 0.3835
21 Pd 0.3835 0.3835 0.8495
22 Pd 0.3835 0.8495 0.3835
23 Pd 0.6165 0.1505 0.6165
24 Pd 0.6165 0.6165 0.1505
25 Pd 0.6165 0.6165 0.6165
26 Pd 0.6507 0.0000 0.0000
27 Pd 0.6507 0.0000 0.3493
28 Pd 0.6507 0.3493 0.0000
29 Pd 0.8495 0.3835 0.3835

Most intense lines, 10 to 90 degrees two-theta, sorted by position:
| Position (°2θ) | intensity |
| --- | --- |
| 31.7 | 15 |
| 34.8 | 24 |
| 37.0 | 100 |
| 40.4 | 51 |
| 42.3 | 27 |
| 43.0 | 13 |
| 47.8 | 24 |
| 62.4 | 25 |
| 63.8 | 14 |
| 73.5 | 27 |

---

2.
# PmAs2Pd7
Simulated powder diffractogram, Cu Kα (weighted mean of Kα1 and Kα2). Input: a cell relaxed with PBE.
Peak positions follow from Bragg's law for the DFT cell and can differ from measured ones.

Structure:
a b c (Å): 10.6093 10.6093 10.6093
angles (deg): 157.35 157.35 32.25
Fractional coordinates of all 10 atoms:
1 Pm 0.0000 0.0000 0.0000
2 As 0.3248 0.3248 0.0000
3 As 0.6752 0.6752 0.0000
4 Pd 0.1055 0.6055 0.5000
5 Pd 0.2500 0.7500 0.5000
6 Pd 0.3945 0.8945 0.5000
7 Pd 0.5000 0.5000 0.0000
8 Pd 0.6055 0.1055 0.5000
9 Pd 0.7500 0.2500 0.5000
10 Pd 0.8945 0.3945 0.5000

Most intense lines, 10 to 90 degrees two-theta, sorted by position:
| Position (°2θ) | intensity |
| --- | --- |
| 25.1 | 16 |
| 31.6 | 18 |
| 35.2 | 41 |
| 40.5 | 100 |
| 43.4 | 56 |
| 57.1 | 15 |
| 63.1 | 19 |
| 72.4 | 12 |
| 74.4 | 12 |
| 77.7 | 29 |

---

3.
# Pm3As4Pd7
Simulated powder diffractogram, Cu Kα (weighted mean of Kα1 and Kα2). Input: a cell relaxed with PBE.
Peak positions follow from Bragg's law for the DFT cell and can differ from measured ones.

Structure:
a b c (Å): 8.2499 8.2499 9.6911
angles (deg): 124.62 124.62 29.41
Fractional coordinates of all 14 atoms:
1 Pm 0.0000 0.0000 0.0000
2 Pm 0.3211 0.3211 0.3266
3 Pm 0.6789 0.6789 0.6734
4 As 0.1065 0.1065 0.8232
5 As 0.3394 0.3394 0.7423
6 As 0.6606 0.6606 0.2577
7 As 0.8935 0.8935 0.1768
8 Pd 0.0000 0.0000 0.5000
9 Pd 0.1627 0.1627 0.4215
10 Pd 0.3060 0.3060 0.9735
11 Pd 0.4894 0.4894 0.7110
12 Pd 0.5106 0.5106 0.2890
13 Pd 0.6940 0.6940 0.0265
14 Pd 0.8373 0.8373 0.5785

Most intense lines, 10 to 90 degrees two-theta, sorted by position:
| Position (°2θ) | intensity |
| --- | --- |
| 29.8 | 22 |
| 34.9 | 100 |
| 35.1 | 55 |
| 35.4 | 80 |
| 36.2 | 25 |
| 37.1 | 26 |
| 38.1 | 31 |
| 42.0 | 35 |
| 43.2 | 61 |
| 61.8 | 22 |

---

4.
# PmAs3Pd5
Simulated powder diffractogram, Cu Kα (weighted mean of Kα1 and Kα2). Input: a cell relaxed with PBE.
Peak positions follow from Bragg's law for the DFT cell and can differ from measured ones.

Structure:
a b c (Å): 6.9850 6.9850 12.6092
angles (deg): 90.00 90.00 147.17
Fractional coordinates of all 18 atoms:
1 Pm 0.1249 0.8751 0.7500
2 Pm 0.8751 0.1249 0.2500
3 As 0.1284 0.8716 0.2500
4 As 0.3873 0.6127 0.0563
5 As 0.3873 0.6127 0.4437
6 As 0.6127 0.3873 0.5563
7 As 0.6127 0.3873 0.9437
8 As 0.8716 0.1284 0.7500
9 Pd 0.0000 0.0000 0.0000
10 Pd 0.0000 0.0000 0.5000
11 Pd 0.2086 0.7914 0.0736
12 Pd 0.2086 0.7914 0.4264
13 Pd 0.4360 0.5640 0.6423
14 Pd 0.4360 0.5640 0.8577
15 Pd 0.5640 0.4360 0.1423
16 Pd 0.5640 0.4360 0.3577
17 Pd 0.7914 0.2086 0.5736
18 Pd 0.7914 0.2086 0.9264

Most intense lines, 10 to 90 degrees two-theta, sorted by position:
| Position (°2θ) | intensity |
| --- | --- |
| 30.2 | 61 |
| 31.1 | 50 |
| 31.8 | 80 |
| 33.5 | 50 |
| 37.1 | 100 |
| 40.7 | 35 |
| 43.1 | 31 |
| 43.3 | 83 |
| 45.0 | 26 |
| 46.0 | 81 |

---

5.
# Pm3As4Pd2Rh2
Simulated powder diffractogram, Cu Kα (weighted mean of Kα1 and Kα2). Input: a cell relaxed with PBE.
Peak positions follow from Bragg's law for the DFT cell and can differ from measured ones.

Structure:
a b c (Å): 4.2469 4.2469 14.6432
angles (deg): 90.00 90.00 120.00
Fractional coordinates of all 11 atoms:
1 Pm 0.0000 0.0000 0.0000
2 Pm 0.0000 0.0000 0.2770
3 Pm 0.0000 0.0000 0.7230
4 As 0.3333 0.6667 0.3972
5 As 0.3333 0.6667 0.8682
6 As 0.6667 0.3333 0.1318
7 As 0.6667 0.3333 0.6028
8 Pd 0.3333 0.6667 0.1454
9 Pd 0.6667 0.3333 0.8546
10 Rh 0.3333 0.6667 0.5641
11 Rh 0.6667 0.3333 0.4359

Most intense lines, 10 to 90 degrees two-theta, sorted by position:
| Position (°2θ) | intensity |
| --- | --- |
| 27.1 | 19 |
| 30.4 | 78 |
| 34.6 | 98 |
| 42.6 | 100 |
| 43.2 | 23 |
| 53.2 | 16 |
| 56.0 | 25 |
| 62.3 | 46 |
| 72.8 | 22 |
| 77.9 | 17 |

---

6.
# SrPmAs2Pd2
Simulated powder diffractogram, Cu Kα (weighted mean of Kα1 and Kα2). Input: a cell relaxed with PBE.
Peak positions follow from Bragg's law for the DFT cell and can differ from measured ones.

Structure:
a b c (Å): 4.3432 4.3432 8.3751
angles (deg): 90.00 90.00 120.00
Fractional coordinates of all 6 atoms:
1 Sr 0.0000 0.0000 0.0000
2 Pm 0.0000 0.0000 0.5000
3 As 0.3333 0.6667 0.2684
4 As 0.6667 0.3333 0.7316
5 Pd 0.3333 0.6667 0.7364
6 Pd 0.6667 0.3333 0.2636

Most intense lines, 10 to 90 degrees two-theta, sorted by position:
| Position (°2θ) | intensity |
| --- | --- |
| 10.6 | 11 |
| 32.0 | 100 |
| 41.6 | 51 |
| 43.2 | 14 |
| 53.4 | 23 |
| 61.5 | 29 |
| 69.9 | 20 |
| 72.2 | 8 |
| 75.9 | 8 |
| 86.9 | 5 |

---

7.
# PmTl2As2Pd7
Simulated powder diffractogram, Cu Kα (weighted mean of Kα1 and Kα2). Input: a cell relaxed with PBE.
Peak positions follow from Bragg's law for the DFT cell and can differ from measured ones.

Structure:
a b c (Å): 4.0855 4.0855 14.6767
angles (deg): 94.71 94.71 89.92
Fractional coordinates of all 12 atoms:
1 Pm 0.0000 0.0000 0.0000
2 Tl 0.1038 0.1038 0.4003
3 Tl 0.8962 0.8962 0.5997
4 As 0.4243 0.4243 0.7518
5 As 0.5757 0.5757 0.2482
6 Pd 0.0468 0.5455 0.1509
7 Pd 0.3987 0.3987 0.5837
8 Pd 0.4545 0.9532 0.8491
9 Pd 0.5000 0.5000 0.0000
10 Pd 0.5455 0.0468 0.1509
11 Pd 0.6013 0.6013 0.4163
12 Pd 0.9532 0.4545 0.8491

Most intense lines, 10 to 90 degrees two-theta, sorted by position:
| Position (°2θ) | intensity |
| --- | --- |
| 30.7 | 60 |
| 31.0 | 30 |
| 31.6 | 51 |
| 34.4 | 67 |
| 34.9 | 71 |
| 36.2 | 64 |
| 43.5 | 29 |
| 44.1 | 42 |
| 44.5 | 100 |
| 64.5 | 40 |

---

8.
# PrAs3Pd5
Simulated powder diffractogram, Cu Kα (weighted mean of Kα1 and Kα2). Input: a cell relaxed with PBE.
Peak positions follow from Bragg's law for the DFT cell and can differ from measured ones.

Structure:
a b c (Å): 6.9500 6.9500 12.7106
angles (deg): 90.00 90.00 146.91
Fractional coordinates of all 18 atoms:
1 Pr 0.1329 0.8671 0.7500
2 Pr 0.8671 0.1329 0.2500
3 As 0.1276 0.8724 0.2500
4 As 0.3866 0.6134 0.0529
5 As 0.3866 0.6134 0.4471
6 As 0.6134 0.3866 0.5529
7 As 0.6134 0.3866 0.9471
8 As 0.8724 0.1276 0.7500
9 Pd 0.0000 0.0000 0.0000
10 Pd 0.0000 0.0000 0.5000
11 Pd 0.2073 0.7927 0.0736
12 Pd 0.2073 0.7927 0.4264
13 Pd 0.4383 0.5617 0.6432
14 Pd 0.4383 0.5617 0.8568
15 Pd 0.5617 0.4383 0.1432
16 Pd 0.5617 0.4383 0.3568
17 Pd 0.7927 0.2073 0.5736
18 Pd 0.7927 0.2073 0.9264

Most intense lines, 10 to 90 degrees two-theta, sorted by position:
| Position (°2θ) | intensity |
| --- | --- |
| 30.3 | 67 |
| 31.1 | 47 |
| 31.7 | 91 |
| 33.4 | 62 |
| 36.9 | 100 |
| 40.8 | 42 |
| 42.8 | 34 |
| 43.3 | 83 |
| 44.9 | 53 |
| 45.8 | 73 |

---

9.
# PrAsPd4
Simulated powder diffractogram, Cu Kα (weighted mean of Kα1 and Kα2). Input: a cell relaxed with PBE.
Peak positions follow from Bragg's law for the DFT cell and can differ from measured ones.

Structure:
a b c (Å): 7.5410 4.1411 7.1350
angles (deg): 90.00 90.00 90.00
Fractional coordinates of all 12 atoms:
1 Pr 0.2500 0.0000 0.1381
2 Pr 0.7500 0.0000 0.8619
3 As 0.2500 0.0000 0.7232
4 As 0.7500 0.0000 0.2768
5 Pd 0.0000 0.0000 0.5000
6 Pd 0.0551 0.5000 0.8018
7 Pd 0.2500 0.5000 0.4418
8 Pd 0.4449 0.5000 0.8018
9 Pd 0.5000 0.0000 0.5000
10 Pd 0.5551 0.5000 0.1982
11 Pd 0.7500 0.5000 0.5582
12 Pd 0.9449 0.5000 0.1982

Most intense lines, 10 to 90 degrees two-theta, sorted by position:
| Position (°2θ) | intensity |
| --- | --- |
| 34.5 | 100 |
| 35.3 | 64 |
| 37.8 | 30 |
| 38.0 | 20 |
| 39.7 | 22 |
| 41.1 | 92 |
| 43.7 | 47 |
| 44.0 | 24 |
| 48.3 | 19 |
| 59.2 | 27 |

---

10.
# PrAs2Pd6
Simulated powder diffractogram, Cu Kα (weighted mean of Kα1 and Kα2). Input: a cell relaxed with PBE.
Peak positions follow from Bragg's law for the DFT cell and can differ from measured ones.

Structure:
a b c (Å): 4.2493 4.2493 8.8079
angles (deg): 90.00 90.00 90.00
Fractional coordinates of all 9 atoms:
1 Pr 0.0000 0.0000 0.0000
2 As 0.5000 0.5000 0.1448
3 As 0.5000 0.5000 0.8552
4 Pd 0.0000 0.0000 0.5000
5 Pd 0.0000 0.5000 0.2891
6 Pd 0.0000 0.5000 0.7109
7 Pd 0.5000 0.0000 0.2891
8 Pd 0.5000 0.0000 0.7109
9 Pd 0.5000 0.5000 0.5000

Most intense lines, 10 to 90 degrees two-theta, sorted by position:
| Position (°2θ) | intensity |
| --- | --- |
| 10.0 | 8 |
| 29.2 | 12 |
| 36.2 | 100 |
| 37.2 | 15 |
| 42.5 | 57 |
| 43.1 | 32 |
| 60.6 | 10 |
| 61.7 | 19 |
| 73.7 | 24 |
| 78.2 | 11 |

---

11.
# PrTl2As2Pd7
Simulated powder diffractogram, Cu Kα (weighted mean of Kα1 and Kα2). Input: a cell relaxed with PBE.
Peak positions follow from Bragg's law for the DFT cell and can differ from measured ones.

Structure:
a b c (Å): 4.1042 4.1042 14.6918
angles (deg): 94.69 94.69 89.97
Fractional coordinates of all 12 atoms:
1 Pr 0.0000 0.0000 0.0000
2 Tl 0.1041 0.1041 0.4004
3 Tl 0.8959 0.8959 0.5996
4 As 0.4240 0.4240 0.7508
5 As 0.5760 0.5760 0.2492
6 Pd 0.0476 0.5459 0.1529
7 Pd 0.3983 0.3983 0.5832
8 Pd 0.4541 0.9524 0.8471
9 Pd 0.5000 0.5000 0.0000
10 Pd 0.5459 0.0476 0.1529
11 Pd 0.6017 0.6017 0.4168
12 Pd 0.9524 0.4541 0.8471

Most intense lines, 10 to 90 degrees two-theta, sorted by position:
| Position (°2θ) | intensity |
| --- | --- |
| 30.6 | 63 |
| 31.5 | 53 |
| 33.2 | 30 |
| 34.3 | 69 |
| 34.7 | 73 |
| 36.0 | 65 |
| 44.0 | 39 |
| 44.2 | 100 |
| 48.9 | 30 |
| 64.2 | 40 |

---

12.
# AsPd6Pt2
Simulated powder diffractogram, Cu Kα (weighted mean of Kα1 and Kα2). Input: a cell relaxed with PBE.
Peak positions follow from Bragg's law for the DFT cell and can differ from measured ones.

Structure:
a b c (Å): 7.9758 7.9758 4.6774
angles (deg): 97.99 97.99 81.80
Fractional coordinates of all 18 atoms:
1 As 0.1425 0.8575 0.7500
2 As 0.8575 0.1425 0.2500
3 Pd 0.0234 0.3921 0.2429
4 Pd 0.0383 0.1884 0.7146
5 Pd 0.1884 0.0383 0.2146
6 Pd 0.2731 0.6025 0.4584
7 Pd 0.3921 0.0234 0.7429
8 Pd 0.3975 0.7269 0.0416
9 Pd 0.6025 0.2731 0.9584
10 Pd 0.6079 0.9766 0.2571
11 Pd 0.7269 0.3975 0.5416
12 Pd 0.8116 0.9617 0.7854
13 Pd 0.9617 0.8116 0.2854
14 Pd 0.9766 0.6079 0.7571
15 Pt 0.2754 0.4067 0.9071
16 Pt 0.4067 0.2754 0.4071
17 Pt 0.5933 0.7246 0.5929
18 Pt 0.7246 0.5933 0.0929

Most intense lines, 10 to 90 degrees two-theta, sorted by position:
| Position (°2θ) | intensity |
| --- | --- |
| 33.6 | 29 |
| 34.3 | 35 |
| 34.8 | 42 |
| 39.3 | 43 |
| 39.5 | 72 |
| 39.7 | 100 |
| 40.4 | 83 |
| 41.3 | 74 |
| 42.9 | 93 |
| 47.6 | 29 |